1.
The following is a theoretical PXRD pattern of CsSbAu2Se4. It was derived from a DFT-relaxed cell (PBE, Alexandria), using CuKα.

Most intense lines, 10 to 90 degrees two-theta, by intensity:
two_theta, I_rel
24.8, 100.0
13.6, 74.4
33.4, 65.2
29.6, 44.8
25.8, 44.6
20.0, 42.7
41.1, 32.0
49.9, 31.1
38.1, 29.6
37.0, 29.0
57.0, 25.9
49.2, 21.8

Structure:
```
data_CsSbAu2Se4
_symmetry_space_group_name_H-M 'P 1'
_symmetry_Int_Tables_number 1
_symmetry_space_group_name_Hall 'P 1'
_cell_length_a 6.729
_cell_length_b 8.863
_cell_length_c 9.642
_cell_angle_alpha 90.00
_cell_angle_beta 90.00
_cell_angle_gamma 90.00
loop_
_atom_site_label
_atom_site_type_symbol
_atom_site_fract_x
_atom_site_fract_y
_atom_site_fract_z
Cs1 Cs 0.000 0.000 0.000
Cs2 Cs 0.500 0.500 0.500
Sb1 Sb 0.000 0.000 0.500
Sb2 Sb 0.500 0.500 0.000
Au1 Au 0.000 0.500 0.160
Au2 Au 0.000 0.500 0.840
Au3 Au 0.500 0.000 0.340
Au4 Au 0.500 0.000 0.660
Se1 Se 0.210 0.168 0.342
Se2 Se 0.210 0.832 0.658
Se3 Se 0.290 0.332 0.842
Se4 Se 0.290 0.668 0.158
Se5 Se 0.710 0.332 0.158
Se6 Se 0.710 0.668 0.842
Se7 Se 0.790 0.168 0.658
Se8 Se 0.790 0.832 0.342
```


2.
The following is a theoretical PXRD pattern of Ta3MoRu. It was derived from a DFT-relaxed cell (PBE, Alexandria), using CuKα.

Most intense lines, 10 to 90 degrees two-theta, by intensity:
two_theta, I_rel
39.4, 100.0
39.7, 24.7
39.8, 24.5
71.9, 17.1
71.3, 17.0
72.1, 17.0
57.5, 16.8
84.9, 10.9
56.5, 8.5
28.4, 7.8
85.6, 2.8
85.9, 2.8

Structure:
```
data_Ta3MoRu
_symmetry_space_group_name_H-M 'P 1'
_symmetry_Int_Tables_number 1
_symmetry_space_group_name_Hall 'P 1'
_cell_length_a 8.459
_cell_length_b 8.459
_cell_length_c 4.538
_cell_angle_alpha 90.00
_cell_angle_beta 90.00
_cell_angle_gamma 148.97
loop_
_atom_site_label
_atom_site_type_symbol
_atom_site_fract_x
_atom_site_fract_y
_atom_site_fract_z
Ta1 Ta 0.054 0.946 0.750
Ta2 Ta 0.250 0.750 0.750
Ta3 Ta 0.445 0.555 0.750
Ta4 Ta 0.555 0.445 0.250
Ta5 Ta 0.750 0.250 0.250
Ta6 Ta 0.946 0.054 0.250
Mo1 Mo 0.152 0.848 0.250
Mo2 Mo 0.848 0.152 0.750
Ru1 Ru 0.349 0.651 0.250
Ru2 Ru 0.651 0.349 0.750
```